Calculated X-ray powder pattern of YTaNi2Sn2 for Cu Kα, from a structure optimized by DFT (GGA-PBE).
Lines closer than 0.1° are merged.

Main lines, sorted by position (2θ = 5–70°):
d_spacing	intensity
3.097	19
3.083	38
2.185	100
2.171	20
1.541	13
1.383	11

abc: 4.3424 8.7535 6.1937
angles: 90.00 90.00 90.00
Atoms (fractional coordinates):
1 Y 0.0000 0.1210 0.0000
2 Y 0.5000 0.8790 0.5000
3 Ta 0.0000 0.6234 0.0082
4 Ta 0.5000 0.3766 0.5082
5 Ni 0.0000 0.3895 0.2662
6 Ni 0.0000 0.8525 0.2369
7 Ni 0.5000 0.1475 0.7369
8 Ni 0.5000 0.6105 0.7662
9 Sn 0.0000 0.1355 0.4958
10 Sn 0.0000 0.6203 0.5160
11 Sn 0.5000 0.3797 0.0160
12 Sn 0.5000 0.8645 0.9958